Structure and computed XRD peak list of LiVF4 (a cell relaxed with PBE+U; Cu Kα (weighted mean of Kα1 and Kα2)).
Neutral-atom scattering factors, no anomalous dispersion.

Structure:
```
data_LiVF4
_symmetry_space_group_name_H-M 'C 1 2/m 1'
_symmetry_Int_Tables_number 12
_symmetry_space_group_name_Hall '-C 2y'
_cell_length_a 12.8196
_cell_length_b 3.9974
_cell_length_c 6.5879
_cell_angle_alpha 90.00
_cell_angle_beta 107.65
_cell_angle_gamma 90.00
loop_
_atom_site_label
_atom_site_type_symbol
_atom_site_fract_x
_atom_site_fract_y
_atom_site_fract_z
Li1 Li 0.1981 0.0000 0.3019
V1 V 0.1102 0.0000 0.7063
F1 F 0.0561 0.0000 0.3753
F2 F 0.1238 0.5000 0.7004
F3 F 0.1392 0.0000 0.0017
F4 F 0.2491 0.5000 0.3437
```

The 12 most intense peaks (2θ = 5–70°), sorted by position:
hkl 0 0 1, 2θ 14.1, intensity 32.5; hkl 2 0 -1, 2θ 16.9, intensity 100.0; hkl 2 0 1, 2θ 23.2, intensity 32.9; hkl 1 1 0, 2θ 23.4, intensity 87.5; hkl 1 1 -1, 2θ 26.2, intensity 19.2; hkl 0 0 2, 2θ 28.4, intensity 24.4; hkl 4 0 0, 2θ 29.2, intensity 27.1; hkl 6 0 -1, 2θ 42.3, intensity 30.1; hkl 0 0 3, 2θ 43.2, intensity 27.0; hkl 0 2 0, 2θ 45.4, intensity 34.3; hkl 7 1 -1, 2θ 55.2, intensity 17.7; hkl 6 2 -1, 2θ 63.8, intensity 14.1



Structure and computed XRD peak list of Li2FeF4 (a cell relaxed with PBE+U; Cu Kα (weighted mean of Kα1 and Kα2)).
Neutral-atom scattering factors, no anomalous dispersion.

Structure:
```
data_Li2FeF4
_symmetry_space_group_name_H-M 'P 1 21/c 1'
_symmetry_Int_Tables_number 14
_symmetry_space_group_name_Hall '-P 2ybc'
_cell_length_a 6.3190
_cell_length_b 5.3604
_cell_length_c 10.7066
_cell_angle_alpha 90.00
_cell_angle_beta 112.56
_cell_angle_gamma 90.00
loop_
_atom_site_label
_atom_site_type_symbol
_atom_site_fract_x
_atom_site_fract_y
_atom_site_fract_z
Li1 Li 0.1568 0.1965 0.0657
Li2 Li 0.2295 0.7377 0.3093
Fe1 Fe 0.4065 0.6803 0.1031
F1 F 0.1492 0.6225 0.4493
F2 F 0.1621 0.5256 0.1597
F3 F 0.3509 0.5048 0.7258
F4 F 0.4278 0.2088 0.5265
```

The 12 most intense peaks (2θ = 5–70°), sorted by position:
hkl 1 0 0, 2θ 15.2, intensity 100.0; hkl 1 0 -2, 2θ 18.5, intensity 23.8; hkl 1 1 0, 2θ 22.5, intensity 37.7; hkl 0 1 2, 2θ 24.5, intensity 23.8; hkl 1 1 -2, 2θ 24.9, intensity 41.4; hkl 1 1 1, 2θ 26.4, intensity 20.6; hkl 1 0 2, 2θ 27.8, intensity 26.9; hkl 1 1 2, 2θ 32.5, intensity 18.8; hkl 0 2 2, 2θ 38.2, intensity 17.6; hkl 1 1 3, 2θ 39.9, intensity 17.2; hkl 1 2 -4, 2θ 48.1, intensity 18.4; hkl 3 1 -4, 2θ 50.2, intensity 20.7



Structure and computed XRD peak list of Nb2Zn2NiO8 (a cell relaxed with PBE+U; Cu Kα (weighted mean of Kα1 and Kα2)).
Neutral-atom scattering factors, no anomalous dispersion.

Structure:
```
data_Nb2Zn2NiO8
_symmetry_space_group_name_H-M 'C 1 2/c 1'
_symmetry_Int_Tables_number 15
_symmetry_space_group_name_Hall '-C 2yc'
_cell_length_a 19.3087
_cell_length_b 5.9313
_cell_length_c 5.2584
_cell_angle_alpha 90.00
_cell_angle_beta 90.34
_cell_angle_gamma 90.00
loop_
_atom_site_label
_atom_site_type_symbol
_atom_site_fract_x
_atom_site_fract_y
_atom_site_fract_z
Nb1 Nb 0.1129 0.1620 0.2635
Zn1 Zn 0.2218 0.3482 0.7643
Ni1 Ni 0.0000 0.3593 0.7500
O1 O 0.0563 0.3754 0.4131
O2 O 0.0683 0.1143 0.9225
O3 O 0.1780 0.1053 0.5591
O4 O 0.1934 0.3521 0.1339
```

The 12 most intense peaks (2θ = 5–70°), sorted by position:
hkl 3 1 1, 2θ 26.6, intensity 24.1; hkl 5 1 0, 2θ 27.6, intensity 78.2; hkl 5 1 -1, 2θ 32.4, intensity 100.0; hkl 5 1 1, 2θ 32.6, intensity 76.7; hkl 0 0 2, 2θ 34.1, intensity 59.7; hkl 0 2 1, 2θ 34.7, intensity 89.0; hkl 5 1 -2, 2θ 44.3, intensity 25.3; hkl 8 2 -1, 2θ 51.8, intensity 21.6; hkl 5 3 0, 2θ 51.9, intensity 65.5; hkl 5 1 -3, 2θ 59.9, intensity 25.5; hkl 0 2 3, 2θ 61.4, intensity 36.1; hkl 5 3 -2, 2θ 63.5, intensity 22.6



Structure and computed XRD peak list of BaSr7Ti7MnO24 (a cell relaxed with PBE+U; Cu Kα (weighted mean of Kα1 and Kα2)).
Neutral-atom scattering factors, no anomalous dispersion.

Structure:
```
data_BaSr7Ti7MnO24
_symmetry_space_group_name_H-M 'R 3 m'
_symmetry_Int_Tables_number 160
_symmetry_space_group_name_Hall 'R 3 -2"'
_cell_length_a 11.1632
_cell_length_b 11.1632
_cell_length_c 13.6661
_cell_angle_alpha 90.00
_cell_angle_beta 90.00
_cell_angle_gamma 120.00
loop_
_atom_site_label
_atom_site_type_symbol
_atom_site_fract_x
_atom_site_fract_y
_atom_site_fract_z
Ba1 Ba 0.0000 0.0000 0.0000
Sr1 Sr 0.0000 0.0000 0.5028
Sr2 Sr 0.0018 0.5009 0.5008
Sr3 Sr 0.1676 0.3352 0.3352
Ti1 Ti 0.0000 0.0000 0.2526
Ti2 Ti 0.0020 0.5010 0.2511
Ti3 Ti 0.1675 0.3350 0.0851
Mn1 Mn 0.0000 0.0000 0.7503
O1 O 0.0002 0.2493 0.5014
O2 O 0.9997 0.2537 0.0012
O3 O 0.0821 0.1641 0.6686
O4 O 0.0848 0.1695 0.1704
O5 O 0.1664 0.0832 0.3354
O6 O 0.1675 0.0838 0.8309
```

The 12 most intense peaks (2θ = 5–70°), sorted by position:
hkl 1 0 1, 2θ 11.2, intensity 0.9; hkl 1 1 0, 2θ 15.9, intensity 0.9; hkl 2 0 2, 2θ 22.5, intensity 5.0; hkl 2 1 1, 2θ 25.2, intensity 0.8; hkl 1 0 4, 2θ 27.7, intensity 0.6; hkl 2 2 0, 2θ 32.1, intensity 100.0; hkl 3 0 3, 2θ 34.1, intensity 0.5; hkl 0 4 2, 2θ 39.6, intensity 20.9; hkl 4 0 4, 2θ 46.0, intensity 39.8; hkl 4 2 2, 2θ 51.8, intensity 3.5; hkl 6 0 0, 2θ 57.2, intensity 37.8; hkl 4 4 0, 2θ 67.1, intensity 22.8



- What is the formula in the second record?
  Li2FeF4